Entry 1:
Diffraction record for Tb2Pd3Rh. The X-ray diffraction stick pattern is simulated, not measured: it uses a PBE-relaxed structure and a wavelength of 1.5418 Å.
Kinematic intensities with the Lorentz-polarization factor, no thermal factor.

Structural model:
```
12
Lattice="-3.0166 6.5639 3.0223 3.0166 -6.5639 3.0223 3.0166 6.5639 -3.0223" Properties=species:S:1:pos:R:3 pbc="T T T"
Tb 1.4529 2.0018 0.0000
Tb 1.4529 -2.0018 3.0223
Tb 1.5636 8.5657 0.0000
Tb 1.5636 4.5620 3.0223
Pd 4.5119 1.7738 0.0000
Pd 3.0166 0.0000 1.5112
Pd 1.4953 4.7900 0.0000
Pd 1.5212 1.7738 3.0223
Pd 0.0000 6.5639 1.5112
Pd -1.4953 4.7900 3.0223
Rh 0.0000 0.0000 1.5112
Rh 0.0000 0.0000 4.5335
```

Principal peaks in the range 5 to 70 degrees two-theta, sorted by position:
2theta  intensity
27.17  9
29.58  27
32.64  50
34.47  8
40.60  100
41.26  17
42.33  55
60.60  22
61.35  9
61.48  9



Entry 2:
Diffraction record for NaSrZn2H6. The X-ray diffraction stick pattern is simulated, not measured: it uses a PBE-relaxed structure and a wavelength of 1.5418 Å.
Kinematic intensities with the Lorentz-polarization factor, no thermal factor.

Structural model:
```
10
Lattice="2.5638 1.4802 6.2076 -2.5638 1.4802 6.2076 0.0000 -2.9604 6.2076" Properties=species:S:1:pos:R:3 pbc="T T T"
Na 0.0000 0.0000 0.0000
Sr 0.0000 0.0000 9.3114
Zn 0.0000 0.0000 4.7461
Zn 0.0000 0.0000 13.8767
H -1.0051 -1.7858 7.8933
H -2.0491 -0.0224 10.7295
H -1.0439 1.7634 7.8933
H 1.0439 -1.7634 10.7294
H 2.0491 0.0224 7.8933
H 1.0051 1.7858 10.7295
```

Principal peaks in the range 5 to 70 degrees two-theta, sorted by position:
2theta  intensity
20.56  14
27.76  100
31.35  8
35.00  53
43.91  28
45.25  25
57.35  12
58.45  23
62.77  9
68.98  13



Entry 3:
Diffraction record for PaAgPbS4. The X-ray diffraction stick pattern is simulated, not measured: it uses a PBE-relaxed structure and a wavelength of 1.5418 Å.
Kinematic intensities with the Lorentz-polarization factor, no thermal factor.

Structural model:
```
14
Lattice="6.6975 0.0000 0.0000 0.0000 6.5539 0.0000 -3.0576 0.0000 7.8515" Properties=species:S:1:pos:R:3 pbc="T T T"
Pa 1.3143 1.6385 0.3605
Pa 2.3256 4.9154 7.4909
Ag -0.9901 4.9154 6.4890
Ag 4.6300 1.6385 1.3624
Pb 0.2514 1.6385 4.1747
Pb 3.3885 4.9154 3.6768
S -0.2734 3.3905 1.6485
S -0.2734 6.4404 1.6485
S 1.0377 4.9154 5.0303
S 0.5616 1.6385 6.9595
S 3.0783 4.9154 0.8919
S 2.6022 1.6385 2.8211
S 3.9133 0.1135 6.2030
S 3.9133 3.1635 6.2030
```

Principal peaks in the range 5 to 70 degrees two-theta, sorted by position:
2theta  intensity
19.64  100
25.86  75
26.47  28
27.21  79
28.61  36
32.48  44
33.96  82
35.69  36
39.89  48
43.00  27



Entry 4:
Diffraction record for AsRhSCl2. The X-ray diffraction stick pattern is simulated, not measured: it uses a PBE-relaxed structure and a wavelength of 1.5418 Å.
Kinematic intensities with the Lorentz-polarization factor, no thermal factor.

Structural model:
```
5
Lattice="4.6992 0.0000 0.0000 0.0000 4.6992 0.0000 0.0000 0.0000 4.6941" Properties=species:S:1:pos:R:3 pbc="T T T"
As 0.0000 0.0000 0.0000
Rh 2.3496 2.3496 2.3470
S 2.3496 2.3496 0.0000
Cl 0.0000 2.3496 2.3470
Cl 2.3496 0.0000 2.3470
```

Principal peaks in the range 5 to 70 degrees two-theta, sorted by position:
2theta  intensity
18.89  24
26.84  100
33.03  11
38.32  72
43.06  10
47.41  43
55.31  47
58.99  4
62.53  19
69.29  15



Entry 5:
Diffraction record for Sm2DyTm4. The X-ray diffraction stick pattern is simulated, not measured: it uses a PBE-relaxed structure and a wavelength of 1.5418 Å.
Kinematic intensities with the Lorentz-polarization factor, no thermal factor.

Structural model:
```
7
Lattice="3.1048 -1.7929 0.0000 3.1048 1.7929 0.0000 -2.0706 0.0000 19.7898" Properties=species:S:1:pos:R:3 pbc="T T T"
Sm 0.0000 0.0000 0.0000
Sm -0.0036 0.0000 5.7278
Dy 4.1437 0.0000 14.1255
Tm 0.0016 0.0000 11.3308
Tm 0.0035 0.0000 16.9304
Tm 4.1357 0.0000 2.8502
Tm 4.1387 0.0000 8.5872
```

Principal peaks in the range 5 to 70 degrees two-theta, sorted by position:
2theta  intensity
28.79  34
31.65  54
32.54  100
33.29  99
50.94  43
56.45  19
57.90  21
61.22  49
61.76  16
62.22  17